Starting from a crystal structure in Alexandria, relaxed with PBE, the X-ray diffraction stick pattern of Ce2PuIr9 was computed for Cu Kα, 1.54184 Å.
Peak positions follow from Bragg's law for the DFT cell and can differ from measured ones.

Most intense lines, 2θ = 10–90°, in order of falling intensity:
2θ = 39.55°, intensity 100; 2θ = 42.81°, intensity 34; 2θ = 39.28°, intensity 31; 2θ = 40.79°, intensity 28; 2θ = 70.90°, intensity 26; 2θ = 64.24°, intensity 24; 2θ = 33.72°, intensity 22; 2θ = 85.16°, intensity 21; 2θ = 33.28°, intensity 20; 2θ = 39.74°, intensity 17

Structure:
Cell lengths 9.366, 9.366, 9.366 Å; angles 32.98, 32.98, 32.98 degrees
Sites, in units of the cell vectors:
Ce 0.139 0.139 0.139
Ce 0.861 0.861 0.861
Pu 0.000 0.000 0.000
Ir 0.081 0.583 0.583
Ir 0.333 0.333 0.333
Ir 0.417 0.417 0.919
Ir 0.417 0.919 0.417
Ir 0.500 0.500 0.500
Ir 0.583 0.081 0.583
Ir 0.583 0.583 0.081
Ir 0.667 0.667 0.667
Ir 0.919 0.417 0.417